No. 1
Starting from the GGA-PBE geometry in Alexandria, the powder diffraction line list of Rb3BeCl5 was simulated for a wavelength of 1.5418 Å.

Largest 10 diffraction maxima, by angle, 10° ≤ 2θ ≤ 80°:
Position (°2θ), I_rel
23.04, 17
23.74, 33
26.35, 14
28.03, 17
29.74, 100
31.42, 60
38.85, 13
41.45, 17
45.00, 16
57.90, 15

a b c (Å): 9.290 9.290 9.290
angles (deg): 122.02 122.02 86.53
Positions (direct):
Rb 0.169 0.669 0.838
Rb 0.250 0.250 0.000
Rb 0.331 0.169 0.500
Rb 0.669 0.831 0.500
Rb 0.750 0.750 0.000
Rb 0.831 0.331 0.162
Be 0.250 0.750 0.500
Be 0.750 0.250 0.500
Cl 0.000 0.000 0.000
Cl 0.032 0.791 0.500
Cl 0.209 0.709 0.241
Cl 0.291 0.532 0.500
Cl 0.468 0.968 0.759
Cl 0.500 0.500 0.000
Cl 0.532 0.032 0.241
Cl 0.709 0.468 0.500
Cl 0.791 0.291 0.759
Cl 0.968 0.209 0.500



No. 2
Starting from the GGA-PBE geometry in Alexandria, the powder diffraction line list of KOsCl2 was simulated for a wavelength of 1.5418 Å.

Largest 10 diffraction maxima, by angle, 10° ≤ 2θ ≤ 80°:
Position (°2θ), I_rel
17.89, 100
19.11, 41
19.57, 35
25.37, 46
25.86, 43
27.19, 41
27.39, 41
36.23, 28
38.78, 20
39.74, 25

a b c (Å): 4.551 4.662 4.977
angles (deg): 93.73 93.01 93.28
Positions (direct):
K 0.000 0.000 0.000
Os 0.518 0.611 0.475
Cl 0.009 0.528 0.440
Cl 0.474 0.108 0.566



No. 3
Starting from the GGA-PBE geometry in Alexandria, the powder diffraction line list of Ca4HgI8 was simulated for a wavelength of 1.5418 Å.

Largest 10 diffraction maxima, by angle, 10° ≤ 2θ ≤ 80°:
Position (°2θ), I_rel
22.71, 26
24.37, 55
25.08, 100
25.32, 54
26.29, 90
26.81, 47
31.35, 29
35.63, 34
39.31, 28
40.06, 52

a b c (Å): 11.260 11.260 15.132
angles (deg): 129.20 129.20 23.49
Positions (direct):
Ca 0.000 0.000 0.000
Ca 0.189 0.189 0.703
Ca 0.516 0.516 0.362
Ca 0.705 0.705 0.065
Hg 0.855 0.855 0.535
I 0.142 0.142 0.456
I 0.187 0.187 0.190
I 0.223 0.223 0.941
I 0.482 0.482 0.123
I 0.518 0.518 0.874
I 0.563 0.563 0.609
I 0.814 0.814 0.785
I 0.891 0.891 0.280



No. 4
Starting from the GGA-PBE geometry in Alexandria, the powder diffraction line list of NbZnPPt2 was simulated for a wavelength of 1.5418 Å.

Largest 10 diffraction maxima, by angle, 10° ≤ 2θ ≤ 80°:
Position (°2θ), I_rel
18.84, 84
26.14, 21
31.90, 100
36.39, 78
38.21, 34
41.28, 47
52.41, 27
53.79, 51
62.68, 29
66.69, 26

a b c (Å): 4.938 4.938 4.711
angles (deg): 90.00 90.00 90.00
Positions (direct):
Nb 0.000 0.000 0.000
Zn 0.500 0.500 0.500
P 0.000 0.000 0.500
Pt 0.000 0.500 0.000
Pt 0.500 0.000 0.000



No. 5
Starting from the GGA-PBE geometry in Alexandria, the powder diffraction line list of Li2TiB2O6 was simulated for a wavelength of 1.5418 Å.

Largest 10 diffraction maxima, by angle, 10° ≤ 2θ ≤ 80°:
Position (°2θ), I_rel
14.80, 100
21.21, 17
25.96, 51
36.92, 28
40.22, 32
45.91, 10
48.39, 16
53.40, 10
60.13, 9
60.49, 8

a b c (Å): 4.837 4.837 5.985
angles (deg): 90.00 90.00 120.00
Positions (direct):
Li 0.333 0.667 0.278
Li 0.667 0.333 0.722
Ti 0.000 0.000 0.000
B 0.333 0.667 0.807
B 0.667 0.333 0.193
O 0.070 0.708 0.805
O 0.292 0.362 0.805
O 0.362 0.070 0.195
O 0.638 0.930 0.805
O 0.708 0.638 0.195
O 0.930 0.292 0.195



No. 6
Starting from the GGA-PBE geometry in Alexandria, the powder diffraction line list of Pm2Sm4Y7 was simulated for a wavelength of 1.5418 Å.

Largest 10 diffraction maxima, by angle, 10° ≤ 2θ ≤ 80°:
Position (°2θ), I_rel
30.29, 44
31.14, 100
31.61, 94
31.73, 53
32.44, 33
33.05, 19
43.53, 14
44.41, 13
56.74, 14
63.04, 19

a b c (Å): 6.553 6.704 10.103
angles (deg): 88.83 78.14 83.61
Positions (direct):
Pm 0.155 0.101 0.347
Pm 0.845 0.899 0.653
Sm 0.367 0.666 0.777
Sm 0.459 0.815 0.101
Sm 0.541 0.185 0.899
Sm 0.633 0.334 0.223
Y 0.000 0.000 0.000
Y 0.133 0.476 0.121
Y 0.243 0.606 0.443
Y 0.265 0.174 0.658
Y 0.735 0.826 0.342
Y 0.757 0.394 0.557
Y 0.867 0.524 0.879



No. 7
Starting from the GGA-PBE geometry in Alexandria, the powder diffraction line list of Na14SrLi was simulated for a wavelength of 1.5418 Å.

Largest 10 diffraction maxima, by angle, 10° ≤ 2θ ≤ 80°:
Position (°2θ), I_rel
14.46, 19
20.65, 11
29.16, 100
33.56, 34
34.27, 16
48.19, 11
48.72, 22
57.28, 13
57.37, 13
58.27, 13

a b c (Å): 7.553 7.553 10.466
angles (deg): 90.00 90.00 90.12
Positions (direct):
Na 0.000 0.000 0.000
Na 0.000 0.500 0.000
Na 0.000 0.500 0.500
Na 0.239 0.239 0.249
Na 0.239 0.239 0.751
Na 0.239 0.761 0.249
Na 0.239 0.761 0.751
Na 0.500 0.000 0.000
Na 0.500 0.000 0.500
Na 0.500 0.500 0.000
Na 0.761 0.239 0.249
Na 0.761 0.239 0.751
Na 0.761 0.761 0.249
Na 0.761 0.761 0.751
Sr 0.500 0.500 0.500
Li 0.000 0.000 0.500



No. 8
Starting from the GGA-PBE geometry in Alexandria, the powder diffraction line list of Tb3ThSc was simulated for a wavelength of 1.5418 Å.

Largest 10 diffraction maxima, by angle, 10° ≤ 2θ ≤ 80°:
Position (°2θ), I_rel
27.58, 7
31.22, 100
36.12, 36
36.38, 16
46.92, 3
52.01, 12
52.20, 23
61.92, 28
62.27, 13
65.13, 12

a b c (Å): 13.541 13.541 13.541
angles (deg): 158.82 48.47 136.93
Positions (direct):
Tb 0.021 0.873 0.148
Tb 0.171 0.126 0.046
Tb 0.224 0.873 0.352
Tb 0.273 0.623 0.650
Tb 0.420 0.874 0.546
Tb 0.473 0.623 0.850
Tb 0.527 0.377 0.150
Tb 0.580 0.126 0.454
Tb 0.727 0.377 0.350
Tb 0.776 0.127 0.648
Tb 0.829 0.874 0.954
Tb 0.979 0.127 0.852
Th 0.124 0.374 0.750
Th 0.374 0.124 0.250
Th 0.626 0.876 0.750
Th 0.876 0.626 0.250
Sc 0.078 0.625 0.453
Sc 0.328 0.375 0.953
Sc 0.672 0.625 0.047
Sc 0.922 0.375 0.547